# 1
For Pm16Sm6Er7, the GGA-PBE geometry in Alexandria gives the simulated powder XRD pattern in this record (Cu Kα (λ = 1.5418 Å)).

Atomic structure:
```
data_Pm16Sm6Er7
_chemical_formula_sum 'Pm64 Sm24 Er28'
_space_group_name_H-M_alt 'F m -3 m'
_space_group_IT_number 225
_space_group_name_Hall '-F 4 2 3'
_cell_length_a 15.960
_cell_length_b 15.960
_cell_length_c 15.960
_cell_angle_alpha 90.00
_cell_angle_beta 90.00
_cell_angle_gamma 90.00
loop_
_atom_site_label
_atom_site_type_symbol
_atom_site_fract_x
_atom_site_fract_y
_atom_site_fract_z
Pm1 Pm 0.125 0.125 0.125
Pm2 Pm 0.150 0.150 0.350
Sm1 Sm 0.000 0.000 0.271
Er1 Er 0.000 0.000 0.000
Er2 Er 0.000 0.250 0.250
```

Peak list (8 most intense, 2θ = 15–90°, low angle first)
- (4 2 2), 2θ 27.38, d = 3.258 Å, rel. 6
- (3 3 3), 2θ 29.07, d = 3.072 Å, rel. 11
- (4 4 0), 2θ 31.71, d = 2.821 Å, rel. 100
- (7 3 1), 2θ 43.56, d = 2.078 Å, rel. 6
- (8 0 0), 2θ 45.46, d = 1.995 Å, rel. 14
- (8 4 4), 2θ 56.49, d = 1.629 Å, rel. 26
- (8 8 0), 2θ 66.25, d = 1.411 Å, rel. 7
- (12 4 0), 2θ 75.32, d = 1.262 Å, rel. 7

---

# 2
For Na2CdSnI6, the GGA-PBE geometry in Alexandria gives the simulated powder XRD pattern in this record (Cu Kα (λ = 1.5418 Å)).

Atomic structure:
```
data_Na2CdSnI6
_chemical_formula_sum 'Na2 Cd1 Sn1 I6'
_space_group_name_H-M_alt 'P 4 m m'
_space_group_IT_number 99
_space_group_name_Hall 'P 4 -2'
_cell_length_a 8.471
_cell_length_b 8.471
_cell_length_c 6.991
_cell_angle_alpha 90.00
_cell_angle_beta 90.00
_cell_angle_gamma 90.00
loop_
_atom_site_label
_atom_site_type_symbol
_atom_site_fract_x
_atom_site_fract_y
_atom_site_fract_z
Na1 Na 0.000 0.500 0.000
Cd1 Cd 0.000 0.000 0.694
Sn1 Sn 0.500 0.500 0.725
I1 I 0.000 0.000 0.304
I2 I 0.240 0.240 0.838
I3 I 0.500 0.500 0.316
```

Peak list (8 most intense, 2θ = 15–90°, low angle first)
- (2 0 1), 2θ 24.57, d = 3.623 Å, rel. 98
- (0 0 2), 2θ 25.48, d = 3.495 Å, rel. 40
- (1 1 2), 2θ 29.59, d = 3.019 Å, rel. 37
- (2 2 0), 2θ 29.83, d = 2.995 Å, rel. 100
- (2 2 2), 2θ 39.63, d = 2.274 Å, rel. 49
- (4 0 0), 2θ 42.70, d = 2.118 Å, rel. 37
- (2 0 3), 2θ 44.37, d = 2.042 Å, rel. 54
- (4 2 3), 2θ 63.27, d = 1.470 Å, rel. 36

---

# 3
For Mn5Ni2Bi4, the GGA-PBE geometry in Alexandria gives the simulated powder XRD pattern in this record (Cu Kα (λ = 1.5418 Å)).

Atomic structure:
```
data_Mn5Ni2Bi4
_chemical_formula_sum 'Mn40 Ni16 Bi32'
_space_group_name_H-M_alt 'F -4 3 m'
_space_group_IT_number 216
_space_group_name_Hall 'F -4 2 3'
_cell_length_a 12.064
_cell_length_b 12.064
_cell_length_c 12.064
_cell_angle_alpha 90.00
_cell_angle_beta 90.00
_cell_angle_gamma 90.00
loop_
_atom_site_label
_atom_site_type_symbol
_atom_site_fract_x
_atom_site_fract_y
_atom_site_fract_z
Mn1 Mn 0.000 0.000 0.250
Mn2 Mn 0.167 0.167 0.167
Ni1 Ni 0.128 0.128 0.372
Bi1 Bi 0.000 0.000 0.000
Bi2 Bi 0.000 0.000 0.500
Bi3 Bi 0.039 0.250 0.750
```

Peak list (8 most intense, 2θ = 15–90°, low angle first)
- (2 2 2), 2θ 25.58, d = 3.483 Å, rel. 86
- (4 0 0), 2θ 29.62, d = 3.016 Å, rel. 72
- (3 3 1), 2θ 32.35, d = 2.768 Å, rel. 33
- (5 1 1), 2θ 38.79, d = 2.322 Å, rel. 63
- (4 4 0), 2θ 42.38, d = 2.133 Å, rel. 100
- (6 2 2), 2θ 50.16, d = 1.819 Å, rel. 30
- (5 5 3), 2θ 58.79, d = 1.571 Å, rel. 19
- (7 7 3), 2θ 82.75, d = 1.166 Å, rel. 24

---

# 4
For Sm3Dy5Y2, the GGA-PBE geometry in Alexandria gives the simulated powder XRD pattern in this record (Cu Kα (λ = 1.5418 Å)).

Atomic structure:
```
data_Sm3Dy5Y2
_chemical_formula_sum 'Sm12 Dy20 Y8'
_space_group_name_H-M_alt 'C 1 2/c 1'
_space_group_IT_number 15
_space_group_name_Hall '-C 2yc'
_cell_length_a 10.715
_cell_length_b 15.693
_cell_length_c 9.523
_cell_angle_alpha 90.00
_cell_angle_beta 123.88
_cell_angle_gamma 90.00
loop_
_atom_site_label
_atom_site_type_symbol
_atom_site_fract_x
_atom_site_fract_y
_atom_site_fract_z
Sm1 Sm 0.000 0.232 0.250
Sm2 Sm 0.143 0.125 0.048
Dy1 Dy 0.000 0.023 0.250
Dy2 Dy 0.000 0.272 0.750
Dy3 Dy 0.000 0.470 0.750
Dy4 Dy 0.236 0.383 0.223
Y1 Y 0.155 0.381 0.547
```

Peak list (8 most intense, 2θ = 15–90°, low angle first)
- (0 0 2), 2θ 22.49, d = 3.953 Å, rel. 11
- (2 2 1), 2θ 30.24, d = 2.955 Å, rel. 30
- (2 4 -2), 2θ 30.41, d = 2.939 Å, rel. 100
- (0 4 2), 2θ 32.14, d = 2.785 Å, rel. 13
- (4 0 -2), 2θ 33.45, d = 2.679 Å, rel. 30
- (0 6 1), 2θ 36.17, d = 2.483 Å, rel. 10
- (0 6 3), 2θ 49.07, d = 1.856 Å, rel. 13
- (6 4 -4), 2θ 58.00, d = 1.590 Å, rel. 10

---

# 5
For YGe3Os, the GGA-PBE geometry in Alexandria gives the simulated powder XRD pattern in this record (Cu Kα (λ = 1.5418 Å)).

Atomic structure:
```
data_YGe3Os
_chemical_formula_sum 'Y2 Ge6 Os2'
_space_group_name_H-M_alt 'P m n 21'
_space_group_IT_number 31
_space_group_name_Hall 'P 2ac -2'
_cell_length_a 6.205
_cell_length_b 5.698
_cell_length_c 5.714
_cell_angle_alpha 90.00
_cell_angle_beta 90.00
_cell_angle_gamma 90.00
loop_
_atom_site_label
_atom_site_type_symbol
_atom_site_fract_x
_atom_site_fract_y
_atom_site_fract_z
Y1 Y 0.000 0.138 0.000
Ge1 Ge 0.000 0.916 0.548
Ge2 Ge 0.233 0.327 0.457
Os1 Os 0.000 0.616 0.262
```

Peak list (8 most intense, 2θ = 15–90°, low angle first)
- (1 0 1), 2θ 21.14, d = 4.202 Å, rel. 85
- (1 1 1), 2θ 26.35, d = 3.382 Å, rel. 76
- (2 0 0), 2θ 28.78, d = 3.102 Å, rel. 25
- (1 2 0), 2θ 34.65, d = 2.589 Å, rel. 28
- (0 2 1), 2θ 35.18, d = 2.551 Å, rel. 98
- (2 1 1), 2θ 36.54, d = 2.459 Å, rel. 100
- (1 1 2), 2θ 38.11, d = 2.362 Å, rel. 36
- (2 1 2), 2θ 46.05, d = 1.971 Å, rel. 100

---

# 6
For NdSm2Y6, the GGA-PBE geometry in Alexandria gives the simulated powder XRD pattern in this record (Cu Kα (λ = 1.5418 Å)).

Atomic structure:
```
data_NdSm2Y6
_chemical_formula_sum 'Nd4 Sm8 Y24'
_space_group_name_H-M_alt 'C 1 2/c 1'
_space_group_IT_number 15
_space_group_name_Hall '-C 2yc'
_cell_length_a 12.964
_cell_length_b 14.295
_cell_length_c 6.618
_cell_angle_alpha 90.00
_cell_angle_beta 102.85
_cell_angle_gamma 90.00
loop_
_atom_site_label
_atom_site_type_symbol
_atom_site_fract_x
_atom_site_fract_y
_atom_site_fract_z
Nd1 Nd 0.000 0.120 0.250
Sm1 Sm 0.139 0.475 0.371
Y1 Y 0.035 0.313 0.002
Y2 Y 0.136 0.085 0.816
Y3 Y 0.240 0.300 0.729
```

Peak list (8 most intense, 2θ = 15–90°, low angle first)
- (0 4 1), 2θ 28.55, d = 3.126 Å, rel. 44
- (2 2 -2), 2θ 30.80, d = 2.903 Å, rel. 100
- (4 2 0), 2θ 30.94, d = 2.890 Å, rel. 64
- (4 2 -1), 2θ 31.23, d = 2.864 Å, rel. 69
- (1 5 0), 2θ 32.10, d = 2.789 Å, rel. 52
- (1 3 -2), 2θ 32.97, d = 2.717 Å, rel. 43
- (2 4 1), 2θ 33.32, d = 2.689 Å, rel. 39
- (2 0 2), 2θ 33.89, d = 2.645 Å, rel. 31

---

# 7
For CaPr4Te5, the GGA-PBE geometry in Alexandria gives the simulated powder XRD pattern in this record (Cu Kα (λ = 1.5418 Å)).

Atomic structure:
```
data_CaPr4Te5
_chemical_formula_sum 'Ca2 Pr8 Te10'
_space_group_name_H-M_alt 'I 4/m m m'
_space_group_IT_number 139
_space_group_name_Hall '-I 4 2'
_cell_length_a 4.513
_cell_length_b 4.513
_cell_length_c 32.230
_cell_angle_alpha 90.00
_cell_angle_beta 90.00
_cell_angle_gamma 90.00
loop_
_atom_site_label
_atom_site_type_symbol
_atom_site_fract_x
_atom_site_fract_y
_atom_site_fract_z
Ca1 Ca 0.000 0.000 0.000
Pr1 Pr 0.000 0.000 0.196
Pr2 Pr 0.000 0.000 0.396
Te1 Te 0.000 0.000 0.097
Te2 Te 0.000 0.000 0.297
Te3 Te 0.000 0.000 0.500
```

Peak list (8 most intense, 2θ = 15–90°, low angle first)
- (0 0 10), 2θ 27.68, d = 3.223 Å, rel. 51
- (1 1 0), 2θ 27.96, d = 3.192 Å, rel. 100
- (1 1 10), 2θ 39.75, d = 2.268 Å, rel. 74
- (2 0 0), 2θ 39.95, d = 2.257 Å, rel. 38
- (2 0 10), 2θ 49.29, d = 1.849 Å, rel. 41
- (2 2 10), 2θ 65.24, d = 1.430 Å, rel. 17
- (3 1 0), 2θ 65.38, d = 1.427 Å, rel. 18
- (3 1 10), 2θ 72.42, d = 1.305 Å, rel. 25

---

# 8
For InGa3Ag3, the GGA-PBE geometry in Alexandria gives the simulated powder XRD pattern in this record (Cu Kα (λ = 1.5418 Å)).

Atomic structure:
```
data_InGa3Ag3
_chemical_formula_sum 'In2 Ga6 Ag6'
_space_group_name_H-M_alt 'P 63/m m c'
_space_group_IT_number 194
_space_group_name_Hall '-P 6c 2c'
_cell_length_a 8.1556
_cell_length_b 8.1556
_cell_length_c 4.9645
_cell_angle_alpha 90.00
_cell_angle_beta 90.00
_cell_angle_gamma 120.00
loop_
_atom_site_label
_atom_site_type_symbol
_atom_site_fract_x
_atom_site_fract_y
_atom_site_fract_z
In1 In 0.3333 0.6667 0.2500
Ga1 Ga 0.1129 0.2257 0.7500
Ag1 Ag 0.0938 0.5469 0.7500
```

Peak list (8 most intense, 2θ = 15–90°, low angle first)
- (2 0 1), 2θ 31.08, d = 2.878 Å, rel. 44
- (2 1 0), 2θ 33.57, d = 2.670 Å, rel. 40
- (0 0 2), 2θ 36.19, d = 2.482 Å, rel. 53
- (2 1 1), 2θ 38.27, d = 2.352 Å, rel. 49
- (3 0 1), 2θ 42.50, d = 2.127 Å, rel. 100
- (2 1 2), 2θ 50.19, d = 1.818 Å, rel. 25
- (3 3 0), 2θ 69.11, d = 1.359 Å, rel. 26
- (3 3 2), 2θ 80.58, d = 1.192 Å, rel. 27

---

# 9
For Li3Zn2Ni3, the GGA-PBE geometry in Alexandria gives the simulated powder XRD pattern in this record (Cu Kα (λ = 1.5418 Å)).

Atomic structure:
```
data_Li3Zn2Ni3
_chemical_formula_sum 'Li9 Zn6 Ni9'
_space_group_name_H-M_alt 'R 3 2'
_space_group_IT_number 155
_space_group_name_Hall 'R 3 2"'
_cell_length_a 6.8986
_cell_length_b 6.8986
_cell_length_c 7.3154
_cell_angle_alpha 90.00
_cell_angle_beta 90.00
_cell_angle_gamma 120.00
loop_
_atom_site_label
_atom_site_type_symbol
_atom_site_fract_x
_atom_site_fract_y
_atom_site_fract_z
Li1 Li 0.0000 0.7448 0.0000
Zn1 Zn 0.0000 0.0000 0.2976
Ni1 Ni 0.0000 0.2998 0.5000
```

Peak list (8 most intense, 2θ = 15–90°, low angle first)
- (1 0 1), 2θ 19.18, d = 4.627 Å, rel. 16
- (1 1 0), 2θ 25.83, d = 3.449 Å, rel. 50
- (0 1 2), 2θ 28.62, d = 3.119 Å, rel. 12
- (2 0 2), 2θ 38.93, d = 2.314 Å, rel. 18
- (3 0 0), 2θ 45.55, d = 1.991 Å, rel. 100
- (1 2 2), 2θ 47.31, d = 1.921 Å, rel. 17
- (2 2 3), 2θ 66.39, d = 1.408 Å, rel. 14
- (3 3 0), 2θ 84.22, d = 1.150 Å, rel. 19